This entry pairs a crystal structure of BaAuSe2 with its calculated powder diffractogram. Radiation: Cu Kα (λ = 1.5418 Å). Structure: a crystal structure in Alexandria, relaxed with PBE.
Intensities are scaled so that the largest is 100.

Largest 6 diffraction maxima, low angle first, 15 to 90 degrees two-theta:
- 23.54 deg, intensity 43.8
- 32.94 deg, intensity 100.0
- 33.53 deg, intensity 38.8
- 40.89 deg, intensity 28.5
- 53.87 deg, intensity 25.4
- 54.27 deg, intensity 20.0

Crystal structure
Cell: 7.5595 7.5595 3.9138 Å, 90.00 90.00 90.00°
Positions (direct):
Ba 0.0000 0.0000 0.0000
Ba 0.5000 0.5000 0.0000
Au 0.0000 0.5000 0.0000
Au 0.5000 0.0000 0.0000
Se 0.1656 0.3344 0.5000
Se 0.3344 0.8344 0.5000
Se 0.6656 0.1656 0.5000
Se 0.8344 0.6656 0.5000